For Ba6Lu2W3O18, the GGA+U geometry in Alexandria gives the calculated PXRD pattern in this record (λ = 1.5418 Å (Cu Kα)).

Most intense lines, 2θ from 5° to 70°, low angle first:
22.5 deg, d = 3.950 Å, I 6.2, hkl 1 0 7
28.6 deg, d = 3.124 Å, I 100.0, hkl 0 1 11
30.2 deg, d = 2.962 Å, I 92.4, hkl 1 1 0
42.0 deg, d = 2.149 Å, I 49.9, hkl 2 0 11
49.6 deg, d = 1.838 Å, I 17.8, hkl 1 0 22
52.6 deg, d = 1.740 Å, I 37.0, hkl 1 2 11
53.6 deg, d = 1.710 Å, I 18.8, hkl 3 0 0
59.2 deg, d = 1.562 Å, I 11.9, hkl 0 2 22
62.7 deg, d = 1.481 Å, I 17.2, hkl 2 2 0
67.8 deg, d = 1.382 Å, I 14.2, hkl 2 1 22

Structure:
```
data_Ba6Lu2W3O18
_chemical_formula_sum 'Ba18 Lu6 W9 O54'
_cell_length_a 5.9246
_cell_length_b 5.9246
_cell_length_c 43.3134
_cell_angle_alpha 90.00
_cell_angle_beta 90.00
_cell_angle_gamma 120.00
_space_group_name_H-M_alt 'R -3 m'
_space_group_IT_number 166
_space_group_name_Hall '-R 3 2"'
loop_
_atom_site_label
_atom_site_type_symbol
_atom_site_fract_x
_atom_site_fract_y
_atom_site_fract_z
Ba1 Ba 0.0000 0.0000 0.0878
Ba2 Ba 0.0000 0.0000 0.1867
Ba3 Ba 0.0000 0.0000 0.3633
Lu1 Lu 0.0000 0.0000 0.2756
W1 W 0.0000 0.0000 0.0000
W2 W 0.0000 0.0000 0.4474
O1 O 0.0154 0.5077 0.1976
O2 O 0.0191 0.5095 0.6408
O3 O 0.0212 0.5106 0.0839
```